For Pu2As7Pd12, DFT lattice parameters and positions (GGA-PBE) gives the simulated powder diffractogram in this record (Cu Kα, 1.54184 Å).
No peak broadening, texture or thermal motion is included.

Structural model:
```
data_Pu2As7Pd12
_symmetry_space_group_name_H-M 'P -3'
_symmetry_Int_Tables_number 147
_cell_length_a 10.1404
_cell_length_b 10.1404
_cell_length_c 4.0724
_cell_angle_alpha 90.00
_cell_angle_beta 90.00
_cell_angle_gamma 120.00
loop_
_symmetry_equiv_pos_as_xyz
'x,y,z'
'-x,-y,-z'
'-y,x-y,z'
'y,-x+y,-z'
'-x+y,-x,z'
'x-y,x,-z'
loop_
_atom_site_label
_atom_site_fract_x
_atom_site_fract_y
_atom_site_fract_z
Pu1 0.3333 0.6667 0.2474
As1 0.0000 0.0000 0.5000
As2 0.1281 0.7102 0.7473
Pd1 0.0481 0.4320 0.7477
Pd2 0.1025 0.2536 0.2326
```

Principal peaks in the range 2θ = 15–90°, low angle first:
2theta, d/Å, I/Imax
30.54, 2.927, 6.9
34.87, 2.573, 100.0
35.41, 2.535, 9.1
37.85, 2.377, 9.8
43.28, 2.090, 14.4
44.50, 2.036, 17.9
47.44, 1.916, 25.0
50.54, 1.806, 7.0
59.14, 1.562, 6.5
60.21, 1.537, 9.3
67.07, 1.396, 14.3
75.70, 1.256, 10.1